This entry pairs a crystal structure of Ba4LiW2N7 with its theoretical PXRD pattern. Radiation: CuKα. Structure: a crystal structure in Alexandria, relaxed with PBE.
Lines closer than 0.1° are merged.

Crystal structure
```
Ba4LiW2N7
1.0
10.482 0.000 0.000
0.000 6.571 0.000
-8.040 0.000 15.587
Ba Li W N
16 4 8 28
direct
0.000 0.023 0.250
0.000 0.977 0.750
0.196 0.142 0.621
0.196 0.858 0.121
0.240 0.278 0.984
0.240 0.722 0.484
0.349 0.230 0.428
0.349 0.770 0.928
0.500 0.315 0.250
0.500 0.685 0.750
0.651 0.230 0.072
0.651 0.770 0.572
0.760 0.278 0.516
0.760 0.722 0.016
0.804 0.142 0.879
0.804 0.858 0.379
0.133 0.457 0.761
0.133 0.543 0.261
0.867 0.457 0.739
0.867 0.543 0.239
0.018 0.330 0.096
0.018 0.670 0.596
0.450 0.225 0.844
0.450 0.775 0.344
0.550 0.225 0.656
0.550 0.775 0.156
0.982 0.330 0.404
0.982 0.670 0.904
0.000 0.500 0.000
0.000 0.500 0.500
0.068 0.470 0.347
0.068 0.530 0.847
0.077 0.079 0.436
0.077 0.921 0.936
0.209 0.275 0.171
0.209 0.725 0.671
0.253 0.183 0.805
0.253 0.817 0.305
0.446 0.011 0.584
0.446 0.989 0.084
0.484 0.464 0.592
0.484 0.536 0.092
0.500 0.240 0.750
0.500 0.760 0.250
0.516 0.464 0.908
0.516 0.536 0.408
0.554 0.011 0.916
0.554 0.989 0.416
0.747 0.183 0.695
0.747 0.817 0.195
0.791 0.275 0.329
0.791 0.725 0.829
0.923 0.079 0.064
0.923 0.921 0.564
0.932 0.470 0.153
0.932 0.530 0.653
```

Peak list (8 most intense, 10° ≤ 2θ ≤ 90°, in order of rising 2θ)
- (2 0 2), d = 3.375 Å, I = 376
- (0 2 0), d = 3.286 Å, I = 301
- (1 1 -5), d = 3.072 Å, I = 601
- (3 1 -3), d = 3.056 Å, I = 1000
- (2 1 -5), d = 3.029 Å, I = 189
- (1 0 -6), d = 2.863 Å, I = 280
- (0 1 5), d = 2.817 Å, I = 229
- (2 1 3), d = 2.631 Å, I = 171